The following is a theoretical powder X-ray diffraction pattern of CeDy7Ho2. It was derived from a cell relaxed with GGA-PBE, using Cu Kα (weighted mean of Kα1 and Kα2).
Lines closer than 0.1° are merged.

Crystal structure
abc: 3.5296 9.3469 10.0216
angles: 105.54 90.00 100.81
Fractional positions:
1 Ce 0.0000 0.0000 0.0000
2 Dy 0.0000 0.0000 0.5000
3 Dy 0.1993 0.3983 0.5991
4 Dy 0.3994 0.7995 0.1976
5 Dy 0.3998 0.8005 0.7026
6 Dy 0.6002 0.1995 0.2974
7 Dy 0.6006 0.2005 0.8024
8 Dy 0.8007 0.6017 0.4009
9 Ho 0.1998 0.3990 0.1005
10 Ho 0.8002 0.6010 0.8995

Largest 9 diffraction maxima, by intensity, 5 to 70 degrees two-theta:
Position (°2θ)  Rel. int.
30.98  100.0
35.89  33.8
51.70  30.0
61.55  21.3
35.99  16.8
61.40  14.3
64.57  12.3
61.62  7.1
51.80  6.0

***

The following is a theoretical powder X-ray diffraction pattern of Pr5SiBi4. It was derived from a cell relaxed with GGA-PBE, using Cu Kα (weighted mean of Kα1 and Kα2).
Lines closer than 0.1° are merged.

Crystal structure
abc: 7.9194 7.9194 7.9194
angles: 99.63 99.63 131.70
Fractional positions:
1 Pr 0.0000 0.0000 0.0000
2 Pr 0.2150 0.5973 0.8123
3 Pr 0.4027 0.2150 0.6177
4 Pr 0.5973 0.7850 0.3823
5 Pr 0.7850 0.4027 0.1877
6 Si 0.5000 0.5000 0.0000
7 Bi 0.0941 0.3032 0.3973
8 Bi 0.3032 0.9059 0.2091
9 Bi 0.6968 0.0941 0.7909
10 Bi 0.9059 0.6968 0.6027

Largest 10 diffraction maxima, by intensity, 5 to 70 degrees two-theta:
Position (°2θ)  Rel. int.
27.58  100.0
39.40  77.5
48.77  27.5
64.45  22.6
64.33  12.6
56.99  8.2
23.82  4.5
56.84  4.5
16.20  4.0
12.25  3.8

***

The following is a theoretical powder X-ray diffraction pattern of Pm4OsC. It was derived from a cell relaxed with GGA-PBE, using Cu Kα (weighted mean of Kα1 and Kα2).
Lines closer than 0.1° are merged.

Crystal structure
abc: 7.6215 7.6215 7.6215
angles: 105.95 105.95 116.76
Fractional positions:
1 Pm 0.1586 0.4693 0.6893
2 Pm 0.2193 0.0300 0.8107
3 Pm 0.2193 0.4086 0.1893
4 Pm 0.3025 0.0000 0.3025
5 Pm 0.6975 0.0000 0.6975
6 Pm 0.7500 0.5525 0.8025
7 Pm 0.7500 0.9475 0.1975
8 Pm 0.7800 0.4693 0.3107
9 Os 0.2358 0.7358 0.5000
10 Os 0.4858 0.4858 0.0000
11 C 0.7285 0.2285 0.5000
12 C 0.9785 0.9785 0.0000

Largest 10 diffraction maxima, by intensity, 5 to 70 degrees two-theta:
Position (°2θ)  Rel. int.
29.64  100.0
47.81  51.1
38.33  47.4
30.81  45.4
19.34  40.2
39.26  26.1
24.38  22.5
58.65  16.8
14.70  16.8
45.40  16.6

***

The following is a theoretical powder X-ray diffraction pattern of La3SbN. It was derived from a cell relaxed with GGA-PBE, using Cu Kα (weighted mean of Kα1 and Kα2).
Lines closer than 0.1° are merged.

Crystal structure
abc: 7.1146 7.1146 5.9558
angles: 90.00 90.00 120.00
Fractional positions:
1 La 0.1648 0.3297 0.2500
2 La 0.1648 0.8352 0.2500
3 La 0.3297 0.1648 0.7500
4 La 0.6703 0.8352 0.2500
5 La 0.8352 0.1648 0.7500
6 La 0.8352 0.6703 0.7500
7 Sb 0.3333 0.6667 0.7500
8 Sb 0.6667 0.3333 0.2500
9 N 0.0000 0.0000 0.0000
10 N 0.0000 0.0000 0.5000

Largest 10 diffraction maxima, by intensity, 5 to 70 degrees two-theta:
Position (°2θ)  Rel. int.
32.73  100.0
30.01  26.5
55.03  22.6
60.64  21.5
28.98  20.5
51.37  19.3
42.21  18.1
62.26  15.5
68.59  4.1
62.36  3.6

***

The following is a theoretical powder X-ray diffraction pattern of KBiF6. It was derived from a cell relaxed with GGA-PBE, using Cu Kα (weighted mean of Kα1 and Kα2).
Lines closer than 0.1° are merged.

Crystal structure
abc: 9.1836 9.1836 9.1836
angles: 109.47 109.47 109.47
Fractional positions:
1 K 0.0000 0.0000 0.5000
2 K 0.0000 0.5000 0.0000
3 K 0.5000 0.0000 0.0000
4 K 0.5000 0.5000 0.5000
5 Bi 0.0000 0.0000 0.0000
6 Bi 0.0000 0.5000 0.5000
7 Bi 0.5000 0.0000 0.5000
8 Bi 0.5000 0.5000 0.0000
9 F 0.0305 0.5835 0.3259
10 F 0.0530 0.2575 0.0835
11 F 0.0835 0.0530 0.2575
12 F 0.1741 0.7575 0.7045
13 F 0.2045 0.4470 0.5305
14 F 0.2425 0.2955 0.8259
15 F 0.2575 0.0835 0.0530
16 F 0.2955 0.8259 0.2425
17 F 0.3259 0.0305 0.5835
18 F 0.4165 0.6741 0.9695
19 F 0.4470 0.5305 0.2045
20 F 0.4695 0.7955 0.5530
21 F 0.5305 0.2045 0.4470
22 F 0.5530 0.4695 0.7955
23 F 0.5835 0.3259 0.0305
24 F 0.6741 0.9695 0.4165
25 F 0.7045 0.1741 0.7575
26 F 0.7425 0.9165 0.9470
27 F 0.7575 0.7045 0.1741
28 F 0.7955 0.5530 0.4695
29 F 0.8259 0.2425 0.2955
30 F 0.9165 0.9470 0.7425
31 F 0.9470 0.7425 0.9165
32 F 0.9695 0.4165 0.6741

Largest 10 diffraction maxima, by intensity, 5 to 70 degrees two-theta:
Position (°2θ)  Rel. int.
23.73  100.0
16.72  67.1
41.73  48.4
65.92  23.9
54.75  22.7
37.95  20.8
48.57  18.8
51.72  18.1
29.17  17.5
33.81  10.6

***

The following is a theoretical powder X-ray diffraction pattern of Dy2NpHgO8. It was derived from a cell relaxed with GGA-PBE, using Cu Kα (weighted mean of Kα1 and Kα2).
Lines closer than 0.1° are merged.

Crystal structure
abc: 5.0414 5.0573 7.2055
angles: 86.36 86.44 86.49
Fractional positions:
1 Dy 0.0231 0.0230 0.2416
2 Dy 0.9769 0.9770 0.7584
3 Np 0.5000 0.5000 0.5000
4 Hg 0.5000 0.5000 0.0000
5 O 0.1933 0.8065 0.0002
6 O 0.2077 0.7910 0.5002
7 O 0.2942 0.2929 0.6800
8 O 0.3282 0.3277 0.2676
9 O 0.6718 0.6723 0.7324
10 O 0.7058 0.7071 0.3200
11 O 0.7923 0.2090 0.4998
12 O 0.8067 0.1935 0.9998

Largest 10 diffraction maxima, by intensity, 5 to 70 degrees two-theta:
Position (°2θ)  Rel. int.
29.71  100.0
24.29  89.9
25.75  79.1
31.46  75.5
45.00  34.3
48.67  27.4
49.13  27.3
35.64  23.9
35.75  23.7
59.30  17.0

***

The following is a theoretical powder X-ray diffraction pattern of Pr3HgRh3. It was derived from a cell relaxed with GGA-PBE, using Cu Kα (weighted mean of Kα1 and Kα2).
Lines closer than 0.1° are merged.

Crystal structure
abc: 9.2365 9.2365 4.6250
angles: 90.00 90.00 120.00
Fractional positions:
1 Pr 0.0731 0.3953 0.2500
2 Pr 0.3222 0.9269 0.2500
3 Pr 0.3953 0.3222 0.7500
4 Pr 0.6047 0.6778 0.2500
5 Pr 0.6778 0.0731 0.7500
6 Pr 0.9269 0.6047 0.7500
7 Hg 0.3333 0.6667 0.7500
8 Hg 0.6667 0.3333 0.2500
9 Rh 0.0306 0.1879 0.7500
10 Rh 0.1573 0.9694 0.7500
11 Rh 0.1879 0.1573 0.2500
12 Rh 0.8121 0.8427 0.7500
13 Rh 0.8427 0.0306 0.2500
14 Rh 0.9694 0.8121 0.2500

Largest 10 diffraction maxima, by intensity, 5 to 70 degrees two-theta:
Position (°2θ)  Rel. int.
35.47  100.0
29.54  63.4
38.95  37.0
27.29  26.2
64.88  25.8
68.32  23.0
53.74  21.8
49.64  21.8
43.82  20.2
52.40  18.5

***

The following is a theoretical powder X-ray diffraction pattern of UCO5. It was derived from a cell relaxed with GGA-PBE, using Cu Kα (weighted mean of Kα1 and Kα2).
Lines closer than 0.1° are merged.

Crystal structure
abc: 4.8921 9.7108 4.3461
angles: 90.00 90.00 90.00
Fractional positions:
1 U 0.2500 0.2500 0.2258
2 U 0.7500 0.7500 0.7742
3 C 0.2500 0.7500 0.1602
4 C 0.7500 0.2500 0.8398
5 O 0.0143 0.7500 0.2900
6 O 0.2500 0.0658 0.2228
7 O 0.2500 0.4342 0.2228
8 O 0.2500 0.7500 0.8600
9 O 0.4857 0.7500 0.2900
10 O 0.5143 0.2500 0.7100
11 O 0.7500 0.2500 0.1400
12 O 0.7500 0.5658 0.7772
13 O 0.7500 0.9342 0.7772
14 O 0.9857 0.2500 0.7100

Largest 10 diffraction maxima, by intensity, 5 to 70 degrees two-theta:
Position (°2θ)  Rel. int.
18.27  100.0
20.33  90.8
22.41  72.2
27.45  71.3
33.18  69.2
46.70  49.1
43.46  45.2
51.32  20.3
37.03  19.4
36.74  15.9

***

The following is a theoretical powder X-ray diffraction pattern of Tb6CuAg2. It was derived from a cell relaxed with GGA-PBE, using Cu Kα (weighted mean of Kα1 and Kα2).
Lines closer than 0.1° are merged.

Crystal structure
abc: 6.9479 7.2330 11.5547
angles: 90.00 119.78 90.00
Fractional positions:
1 Tb 0.0962 0.0175 0.2505
2 Tb 0.0962 0.4825 0.7505
3 Tb 0.2043 0.6833 0.0637
4 Tb 0.2043 0.8167 0.5637
5 Tb 0.3553 0.1738 0.0505
6 Tb 0.3553 0.3262 0.5505
7 Tb 0.6447 0.6738 0.4495
8 Tb 0.6447 0.8262 0.9495
9 Tb 0.7957 0.1833 0.4363
10 Tb 0.7957 0.3167 0.9363
11 Tb 0.9038 0.5175 0.2495
12 Tb 0.9038 0.9825 0.7495
13 Cu 0.5000 0.0000 0.5000
14 Cu 0.5000 0.5000 0.0000
15 Ag 0.3295 0.1182 0.7655
16 Ag 0.3295 0.3818 0.2655
17 Ag 0.6705 0.6182 0.7345
18 Ag 0.6705 0.8818 0.2345

Largest 10 diffraction maxima, by intensity, 5 to 70 degrees two-theta:
Position (°2θ)  Rel. int.
30.98  100.0
30.47  79.0
32.32  70.4
29.75  69.6
28.24  65.4
32.16  62.4
39.60  56.3
36.61  53.0
31.09  51.8
33.53  49.0

***

The following is a theoretical powder X-ray diffraction pattern of Rb2HoRuO6. It was derived from a cell relaxed with GGA-PBE, using Cu Kα (weighted mean of Kα1 and Kα2).
Lines closer than 0.1° are merged.

Crystal structure
abc: 6.3919 6.3919 5.7098
angles: 90.00 90.00 120.00
Fractional positions:
1 Rb 0.3333 0.6667 0.1308
2 Rb 0.6667 0.3333 0.8692
3 Ho 0.0000 0.0000 0.5000
4 Ru 0.0000 0.0000 0.0000
5 O 0.1372 0.2744 0.7929
6 O 0.1372 0.8628 0.7929
7 O 0.2744 0.1372 0.2071
8 O 0.7256 0.8628 0.7929
9 O 0.8628 0.1372 0.2071
10 O 0.8628 0.7256 0.2071

Largest 10 diffraction maxima, by intensity, 5 to 70 degrees two-theta:
Position (°2θ)  Rel. int.
16.01  100.0
27.92  92.5
35.38  44.1
22.37  36.4
45.65  35.4
54.36  33.2
36.06  27.2
42.46  25.5
49.39  17.7
57.69  16.5

***

The following is a theoretical powder X-ray diffraction pattern of Nd2SmY2Th. It was derived from a cell relaxed with GGA-PBE, using Cu Kα (weighted mean of Kα1 and Kα2).
Lines closer than 0.1° are merged.

Crystal structure
abc: 7.0596 16.3318 3.5649
angles: 90.00 90.00 90.00
Fractional positions:
1 Nd 0.2493 0.1536 0.0000
2 Nd 0.2507 0.6536 0.5000
3 Nd 0.7493 0.3464 0.5000
4 Nd 0.7507 0.8464 0.0000
5 Sm 0.0000 0.0000 0.5000
6 Sm 0.5000 0.5000 0.0000
7 Y 0.2437 0.3469 0.5000
8 Y 0.2563 0.8469 0.0000
9 Y 0.7437 0.1531 0.0000
10 Y 0.7563 0.6531 0.5000
11 Th 0.0000 0.5000 0.0000
12 Th 0.5000 0.0000 0.5000

Largest 10 diffraction maxima, by intensity, 5 to 70 degrees two-theta:
Position (°2θ)  Rel. int.
29.96  100.0
36.23  72.1
33.56  57.2
27.53  52.0
62.69  42.2
53.65  35.8
32.91  35.1
10.83  31.2
61.00  26.4
45.60  16.6

***

The following is a theoretical powder X-ray diffraction pattern of CdP2H2. It was derived from a cell relaxed with GGA-PBE, using Cu Kα (weighted mean of Kα1 and Kα2).
Lines closer than 0.1° are merged.

Crystal structure
abc: 4.3612 4.4009 5.7295
angles: 105.93 95.82 119.26
Fractional positions:
1 Cd 0.0000 0.0000 0.0000
2 P 0.7108 0.3931 0.1026
3 P 0.8893 0.5485 0.5141
4 H 0.2442 0.6006 0.5513
5 H 0.7156 0.1877 0.5325

Largest 10 diffraction maxima, by intensity, 5 to 70 degrees two-theta:
Position (°2θ)  Rel. int.
24.37  100.0
16.77  66.0
33.89  37.2
30.59  26.6
23.67  25.3
27.64  21.3
40.74  18.1
46.94  16.2
41.65  13.7
42.82  13.0